# 1
TlHg2Pb: simulated powder XRD pattern (Cu Kα (weighted mean of Kα1 and Kα2)), based on DFT lattice parameters and positions (PBE).
No peak broadening, texture or thermal motion is included.

Peak list (10 most intense, 2θ = 5–70°, in order of rising 2θ)
hkl, d [Å], intensity
0 2 0, 2.887, 647
1 1 0, 2.860, 576
1 0 1, 2.804, 177
0 1 2, 2.731, 1000
1 1 -1, 2.678, 440
1 1 1, 2.523, 194
1 2 1, 2.011, 139
0 3 2, 1.635, 221
2 1 1, 1.503, 139
2 2 -1, 1.418, 139

Structure:
Cell: 3.305 5.773 6.226 Å, 90.00 95.18 90.00°
Space group Pm (No. 6)
Symmetry-distinct sites (fractional):
1 Tl 0.000 0.000 0.000 [1 per cell]
2 Hg 0.300 0.000 0.505 [1 per cell]
3 Hg 0.669 0.500 0.306 [1 per cell]
4 Pb 0.468 0.500 0.804 [1 per cell]

***

# 2
Tm2Ga5Co: simulated powder XRD pattern (Cu Kα (weighted mean of Kα1 and Kα2)), based on DFT lattice parameters and positions (PBE).
No peak broadening, texture or thermal motion is included.

Peak list (10 most intense, 2θ = 5–70°, in order of rising 2θ)
hkl, d [Å], intensity
1 1 0, 4.259, 187
2 0 0, 3.011, 88
1 1 2, 2.977, 466
2 1 1, 2.563, 95
2 0 2, 2.440, 1000
2 2 0, 2.129, 445
0 0 4, 2.082, 214
3 1 2, 1.732, 148
4 0 0, 1.506, 129
2 2 4, 1.489, 257

Structure:
Cell: 6.023 6.023 8.329 Å, 90.00 90.00 90.00°
Space group I4mm (No. 107)
Symmetry-distinct sites (fractional):
1 Tm 0.000 0.500 0.000 [4 per cell]
2 Ga 0.000 0.000 0.493 [2 per cell]
3 Ga 0.220 0.220 0.747 [8 per cell]
4 Co 0.000 0.000 0.207 [2 per cell]

***

# 3
LaPm2Sm: simulated powder XRD pattern (Cu Kα (weighted mean of Kα1 and Kα2)), based on DFT lattice parameters and positions (PBE).
No peak broadening, texture or thermal motion is included.

Peak list (10 most intense, 2θ = 5–70°, in order of rising 2θ)
hkl, d [Å], intensity
0 1 2, 3.135, 316
0 0 12, 2.996, 579
0 1 5, 2.911, 1000
1 0 7, 2.706, 757
1 0 10, 2.383, 187
1 1 0, 1.838, 390
0 1 17, 1.761, 244
1 0 19, 1.626, 148
1 1 12, 1.566, 449
2 0 5, 1.554, 153

Structure:
Cell: 3.6758 3.6758 35.9398 Å, 90.00 90.00 120.00°
Space group R3m (No. 160, hexagonal axes)
Symmetry-distinct sites (fractional):
1 La 0.0000 0.0000 0.0000 [3 per cell]
2 Pm 0.0000 0.0000 0.5815 [3 per cell]
3 Pm 0.0000 0.0000 0.7518 [3 per cell]
4 Sm 0.0000 0.0000 0.1666 [3 per cell]

***

# 4
CaPrGa4: simulated powder XRD pattern (Cu Kα (weighted mean of Kα1 and Kα2)), based on DFT lattice parameters and positions (PBE).
No peak broadening, texture or thermal motion is included.

Peak list (10 most intense, 2θ = 5–70°, in order of rising 2θ)
hkl, d [Å], intensity
0 0 2, 7.546, 215
1 0 1, 4.124, 173
1 0 3, 3.263, 283
1 1 2, 2.813, 1000
1 0 5, 2.468, 622
2 0 0, 2.144, 470
1 0 7, 1.926, 304
2 1 5, 1.618, 332
2 2 0, 1.516, 151
2 1 7, 1.433, 225

Structure:
Cell: 4.288 4.288 15.091 Å, 90.00 90.00 90.00°
Space group I-4m2 (No. 119)
Symmetry-distinct sites (fractional):
1 Ca 0.000 0.000 0.000 [2 per cell]
2 Pr 0.000 0.500 0.250 [2 per cell]
3 Ga 0.000 0.000 0.417 [4 per cell]
4 Ga 0.000 0.500 0.667 [4 per cell]

***

# 5
HfVIr: simulated powder XRD pattern (Cu Kα (weighted mean of Kα1 and Kα2)), based on DFT lattice parameters and positions (PBE).
No peak broadening, texture or thermal motion is included.

Peak list (10 most intense, 2θ = 5–70°, in order of rising 2θ)
hkl, d [Å], intensity
0 0 2, 3.640, 183
1 1 2, 2.583, 447
2 0 0, 2.480, 320
1 2 1, 2.266, 1000
0 1 3, 2.216, 154
1 0 3, 2.179, 657
2 1 1, 2.155, 253
2 0 2, 2.049, 224
0 2 4, 1.512, 145
3 2 1, 1.387, 214

Structure:
Cell: 4.960 5.440 7.279 Å, 90.00 90.00 90.00°
Space group Imma (No. 74)
Symmetry-distinct sites (fractional):
1 Hf 0.000 0.250 0.122 [4 per cell]
2 V 0.250 0.250 0.750 [4 per cell]
3 Ir 0.000 0.000 0.500 [4 per cell]

***

# 6
Sm3Dy2Y6: simulated powder XRD pattern (Cu Kα (weighted mean of Kα1 and Kα2)), based on DFT lattice parameters and positions (PBE).
No peak broadening, texture or thermal motion is included.

Peak list (10 most intense, 2θ = 5–70°, in order of rising 2θ)
hkl, d [Å], intensity
0 0 15, 6.408, 56
0 1 11, 2.925, 1000
0 0 33, 2.913, 328
1 0 22, 2.530, 668
1 1 0, 1.792, 236
0 1 44, 1.786, 232
2 0 11, 1.527, 416
1 0 55, 1.523, 136
0 2 22, 1.462, 120
0 0 66, 1.456, 40

Structure:
Cell: 3.5840 3.5840 96.1207 Å, 90.00 90.00 120.00°
Space group R-3m (No. 166, hexagonal axes)
Symmetry-distinct sites (fractional):
1 Sm 0.0000 0.0000 0.0000 [3 per cell]
2 Sm 0.0000 0.0000 0.2724 [6 per cell]
3 Dy 0.0000 0.0000 0.4548 [6 per cell]
4 Y 0.0000 0.0000 0.0915 [6 per cell]
5 Y 0.0000 0.0000 0.1818 [6 per cell]
6 Y 0.0000 0.0000 0.3638 [6 per cell]

***

# 7
SrLa3Co: simulated powder XRD pattern (Cu Kα (weighted mean of Kα1 and Kα2)), based on DFT lattice parameters and positions (PBE).
No peak broadening, texture or thermal motion is included.

Peak list (10 most intense, 2θ = 5–70°, in order of rising 2θ)
hkl, d [Å], intensity
1 0 0, 5.640, 186
1 1 1, 3.256, 1000
2 0 0, 2.820, 849
2 1 0, 2.522, 97
2 2 0, 1.994, 620
3 0 0, 1.880, 50
3 1 1, 1.701, 459
2 2 2, 1.628, 215
4 0 0, 1.410, 99
4 1 0, 1.368, 26

Structure:
Cell: 5.640 5.640 5.640 Å, 90.00 90.00 90.00°
Space group Pm-3m (No. 221)
Symmetry-distinct sites (fractional):
1 Sr 0.000 0.000 0.000 [1 per cell]
2 La 0.000 0.500 0.500 [3 per cell]
3 Co 0.500 0.500 0.500 [1 per cell]

***

# 8
NaPuCu2O6: simulated powder XRD pattern (Cu Kα (weighted mean of Kα1 and Kα2)), based on DFT lattice parameters and positions (PBE).
No peak broadening, texture or thermal motion is included.

Peak list (10 most intense, 2θ = 5–70°, in order of rising 2θ)
hkl, d [Å], intensity
1 1 -1, 5.209, 1000
2 0 0, 5.135, 175
1 1 1, 3.999, 200
2 2 0, 3.428, 557
3 1 -1, 3.390, 255
2 2 -1, 3.374, 177
0 0 2, 2.966, 168
2 2 -2, 2.604, 149
1 3 1, 2.524, 210
3 3 -1, 2.348, 154

Structure:
Cell: 11.160 9.206 6.446 Å, 90.00 113.03 90.00°
Space group C2/c (No. 15)
Symmetry-distinct sites (fractional):
1 Na 0.000 0.100 0.250 [4 per cell]
2 Pu 0.000 0.270 0.750 [4 per cell]
3 Cu 0.200 0.437 0.128 [8 per cell]
4 O 0.067 0.279 0.075 [8 per cell]
5 O 0.121 0.106 0.734 [8 per cell]
6 O 0.149 0.431 0.803 [8 per cell]

***

# 9
Ca4Ag3Pb: simulated powder XRD pattern (Cu Kα (weighted mean of Kα1 and Kα2)), based on DFT lattice parameters and positions (PBE).
No peak broadening, texture or thermal motion is included.

Peak list (10 most intense, 2θ = 5–70°, in order of rising 2θ)
hkl, d [Å], intensity
1 0 4, 3.764, 653
0 1 8, 2.669, 1000
1 1 0, 2.654, 988
0 2 4, 2.169, 155
2 0 8, 1.882, 346
1 1 12, 1.687, 144
2 1 4, 1.679, 140
1 0 16, 1.544, 175
1 2 8, 1.535, 347
3 0 0, 1.532, 173

Structure:
Cell: 5.3080 5.3080 26.2320 Å, 90.00 90.00 120.00°
Space group R-3m (No. 166, hexagonal axes)
Symmetry-distinct sites (fractional):
1 Ca 0.0000 0.0000 0.1223 [6 per cell]
2 Ca 0.0000 0.0000 0.3732 [6 per cell]
3 Ag 0.0000 0.0000 0.0000 [3 per cell]
4 Ag 0.0000 0.0000 0.2512 [6 per cell]
5 Pb 0.0000 0.0000 0.5000 [3 per cell]

***

# 10
Na2TaNb2S6: simulated powder XRD pattern (Cu Kα (weighted mean of Kα1 and Kα2)), based on DFT lattice parameters and positions (PBE).
No peak broadening, texture or thermal motion is included.

Peak list (10 most intense, 2θ = 5–70°, in order of rising 2θ)
hkl, d [Å], intensity
0 0 1, 7.140, 1000
0 2 1, 4.226, 114
1 3 0, 2.988, 135
2 0 -1, 2.931, 87
1 3 1, 2.640, 435
2 0 -2, 2.569, 226
1 3 2, 2.161, 113
2 0 2, 2.014, 93
1 3 -3, 1.989, 169
3 3 -1, 1.722, 118

Structure:
Cell: 5.939 10.487 7.364 Å, 90.00 104.15 90.00°
Space group C2/m (No. 12)
Symmetry-distinct sites (fractional):
1 Na 0.000 0.175 0.000 [4 per cell]
2 Ta 0.000 0.000 0.500 [2 per cell]
3 Nb 0.000 0.362 0.500 [4 per cell]
4 S 0.226 0.169 0.705 [8 per cell]
5 S 0.247 0.500 0.733 [4 per cell]

***

# 11
Zn3Cu2Ni2: simulated powder XRD pattern (Cu Kα (weighted mean of Kα1 and Kα2)), based on DFT lattice parameters and positions (PBE).
No peak broadening, texture or thermal motion is included.

Peak list (10 most intense, 2θ = 5–70°, in order of rising 2θ)
hkl, d [Å], intensity
0 2 1, 2.507, 41
0 4 1, 2.272, 54
1 7 0, 2.143, 1000
1 1 1, 2.101, 833
1 3 1, 2.001, 108
0 6 1, 1.994, 241
1 5 1, 1.838, 49
2 0 0, 1.812, 300
0 8 1, 1.734, 297
0 10 1, 1.514, 25

Structure:
Cell: 3.624 18.606 2.603 Å, 90.00 90.00 90.00°
Space group Cmmm (No. 65)
Symmetry-distinct sites (fractional):
1 Zn 0.000 0.000 0.000 [2 per cell]
2 Zn 0.000 0.142 0.000 [4 per cell]
3 Cu 0.000 0.293 0.500 [4 per cell]
4 Ni 0.000 0.430 0.500 [4 per cell]

***

# 12
Ca3Nd13: simulated powder XRD pattern (Cu Kα (weighted mean of Kα1 and Kα2)), based on DFT lattice parameters and positions (PBE).
No peak broadening, texture or thermal motion is included.

Peak list (10 most intense, 2θ = 5–70°, in order of rising 2θ)
hkl, d [Å], intensity
0 1 1, 8.798, 103
0 0 4, 3.240, 249
0 4 0, 2.999, 252
2 2 2, 2.851, 1000
0 4 4, 2.201, 168
4 0 0, 1.873, 65
2 0 6, 1.869, 128
2 6 2, 1.702, 213
4 4 0, 1.587, 223
4 2 4, 1.565, 108

Structure:
Cell: 7.492 11.997 12.941 Å, 90.00 90.00 90.00°
Space group Amm2 (No. 38)
Symmetry-distinct sites (fractional):
1 Ca 0.000 0.000 0.000 [2 per cell]
2 Ca 0.251 0.000 0.251 [4 per cell]
3 Nd 0.000 0.000 0.507 [2 per cell]
4 Nd 0.000 0.247 0.833 [4 per cell]
5 Nd 0.252 0.245 0.582 [8 per cell]
6 Nd 0.256 0.000 0.748 [4 per cell]
7 Nd 0.500 0.000 0.503 [2 per cell]
8 Nd 0.500 0.000 0.996 [2 per cell]
9 Nd 0.500 0.243 0.836 [4 per cell]